Entry 1:
Theoretical powder diffraction line list of BaPdO for Cu Ka, from a crystal structure in Alexandria, relaxed with PBE.

Atomic structure:
Cell lengths 4.070, 16.436, 3.936 Å; angles 90.00, 90.00, 90.00 degrees
Fractional positions:
Ba 0.000 0.160 0.000
Ba 0.000 0.840 0.500
Ba 0.500 0.340 0.500
Ba 0.500 0.660 0.000
Pd 0.000 0.447 0.000
Pd 0.000 0.553 0.500
Pd 0.500 0.053 0.500
Pd 0.500 0.947 0.000
O 0.000 0.321 0.001
O 0.000 0.679 0.501
O 0.500 0.179 0.501
O 0.500 0.821 0.001

Main lines, sorted by position (10 to 80 degrees two-theta):
| 2θ/deg | I (rel.) | hkl |
| --- | --- | --- |
| 27.30 | 86 | 1 3 0 |
| 31.47 | 73 | 0 4 1 |
| 32.10 | 100 | 1 1 1 |
| 35.72 | 30 | 1 3 1 |
| 44.54 | 47 | 2 0 0 |
| 46.12 | 22 | 0 0 2 |
| 50.51 | 35 | 1 7 1 |
| 54.43 | 26 | 1 3 2 |
| 55.54 | 29 | 2 4 1 |
| 66.05 | 28 | 2 0 2 |


Entry 2:
Theoretical powder diffraction line list of Ba3PdO4 for Cu Ka, from a crystal structure in Alexandria, relaxed with PBE.

Atomic structure:
Cell lengths 8.688, 8.451, 5.234 Å; angles 90.00, 90.00, 90.00 degrees
Fractional positions:
Ba 0.000 0.101 0.000
Ba 0.239 0.349 0.495
Ba 0.261 0.651 0.995
Ba 0.500 0.899 0.500
Ba 0.739 0.651 0.995
Ba 0.761 0.349 0.495
Pd 0.000 0.723 0.453
Pd 0.500 0.277 0.953
O 0.000 0.192 0.497
O 0.000 0.792 0.084
O 0.235 0.704 0.496
O 0.265 0.296 0.996
O 0.500 0.208 0.584
O 0.500 0.808 0.997
O 0.735 0.296 0.996
O 0.765 0.704 0.496

Main lines, sorted by position (10 to 80 degrees two-theta):
| 2θ/deg | I (rel.) | hkl |
| --- | --- | --- |
| 21.02 | 21 | 0 2 0 |
| 22.45 | 30 | 1 1 1 |
| 23.02 | 54 | 2 1 0 |
| 27.12 | 48 | 0 2 1 |
| 28.72 | 100 | 2 1 1 |
| 29.04 | 20 | 1 2 1 |
| 34.25 | 57 | 0 0 2 |
| 41.57 | 30 | 4 0 0 |
| 41.69 | 22 | 2 1 2 |
| 54.94 | 20 | 4 0 2 |


Entry 3:
Theoretical powder diffraction line list of BaPdO5 for Cu Ka, from a crystal structure in Alexandria, relaxed with PBE.

Atomic structure:
Cell lengths 5.148, 6.042, 8.890 Å; angles 90.00, 125.02, 90.00 degrees
Fractional positions:
Ba 0.000 0.042 0.250
Ba 0.000 0.958 0.750
Pd 0.500 0.500 0.000
Pd 0.500 0.500 0.500
O 0.275 0.326 0.596
O 0.275 0.674 0.096
O 0.387 0.226 0.044
O 0.387 0.774 0.544
O 0.500 0.191 0.750
O 0.500 0.809 0.250
O 0.613 0.226 0.456
O 0.613 0.774 0.956
O 0.725 0.326 0.904
O 0.725 0.674 0.404

Main lines, sorted by position (10 to 80 degrees two-theta):
| 2θ/deg | I (rel.) | hkl |
| --- | --- | --- |
| 21.20 | 63 | 1 0 -2 |
| 25.77 | 100 | 1 1 0 |
| 28.63 | 87 | 0 1 2 |
| 29.57 | 16 | 0 2 0 |
| 36.67 | 46 | 1 2 -2 |
| 38.00 | 38 | 2 1 -2 |
| 41.02 | 23 | 1 0 2 |
| 43.18 | 14 | 2 0 -4 |
| 43.99 | 22 | 1 1 -4 |
| 50.17 | 24 | 0 0 4 |